Structure and theoretical powder XRD pattern of Na2VS2O9 (a crystal structure in Alexandria, relaxed with GGA+U; Cu Kα X-rays).
Kinematic intensities with the Lorentz-polarization factor, no thermal factor.

Crystal structure
```
Na2VS2O9
1.0
6.400 0.000 0.000
0.000 6.925 0.000
0.000 0.000 16.993
Na V S O
8 4 8 36
Cartesian
0.868 0.677 4.343
1.467 4.335 9.862
1.733 2.590 1.365
2.332 6.248 12.839
4.068 2.786 12.650
4.668 6.052 7.131
4.933 0.873 15.627
5.532 4.139 4.154
0.220 4.533 15.435
2.980 2.392 6.939
3.420 5.854 1.557
6.181 1.071 10.054
0.227 6.287 1.175
0.929 2.820 12.693
2.271 4.105 4.197
2.974 0.638 9.671
3.427 4.100 15.818
4.130 0.642 4.299
5.471 6.283 12.796
6.174 2.825 7.322
0.089 3.203 13.899
0.105 5.991 13.862
0.137 6.254 16.663
0.259 3.400 16.626
0.315 0.744 1.626
0.955 2.112 6.718
1.399 5.478 1.613
1.434 2.972 3.732
1.438 5.260 4.517
1.762 1.665 13.013
1.766 3.953 12.228
1.801 1.447 10.109
2.245 4.813 15.214
2.885 6.181 10.122
2.941 3.525 8.130
3.063 0.671 8.167
3.095 0.934 5.366
3.111 3.722 5.403
3.290 0.259 3.094
3.305 4.396 3.130
3.337 4.133 0.329
3.459 0.062 0.366
3.515 2.719 15.366
4.155 1.351 10.274
4.599 4.910 15.380
4.634 0.490 13.261
4.639 5.127 12.476
4.962 1.798 3.979
4.967 6.435 4.765
5.001 2.015 6.883
5.445 5.574 1.778
6.085 4.206 6.870
6.141 6.863 8.862
6.263 2.792 8.826
6.296 2.529 11.627
6.311 6.666 11.590
```

Principal peaks in the range 2θ from 5° to 70°, in order of rising 2θ:
hkl 0 1 1, 13.8°, rel. 100.0; hkl 0 1 2, 16.5°, rel. 44.0; hkl 0 1 4, 24.6°, rel. 38.0; hkl 2 0 2, 29.8°, rel. 22.1; hkl 0 2 3, 30.3°, rel. 66.9; hkl 2 1 1, 31.2°, rel. 37.8; hkl 0 0 6, 31.6°, rel. 41.1; hkl 2 1 2, 32.6°, rel. 37.7